Structure and theoretical PXRD pattern of Rb3Ca2Br3Cl4 (a DFT-relaxed cell (PBE, Alexandria); Cu Kα, 1.54184 Å).
Peak positions follow from Bragg's law for the DFT cell and can differ from measured ones.

Peak list (10 most intense, 2θ from 10° to 90°, in order of falling intensity)
(1 6 1), 3.008 Å, 29.70°, intensity 100; (1 4 1), 3.429 Å, 25.98°, intensity 58; (2 0 0), 2.863 Å, 31.24°, intensity 56; (0 0 2), 2.706 Å, 33.11°, intensity 47; (2 0 2), 1.966 Å, 46.17°, intensity 43; (0 10 0), 2.800 Å, 31.96°, intensity 43; (1 0 1), 3.933 Å, 22.61°, intensity 33; (2 10 0), 2.002 Å, 45.30°, intensity 31; (0 5 1), 3.892 Å, 22.85°, intensity 30; (2 10 2), 1.609 Å, 57.25°, intensity 30

Structure:
Cell: 5.7262 28.0033 5.4116 Å, 90.00 90.00 90.00°
Space group Imm2 (No. 44)
Asymmetric unit:
Rb  0.0000  0.0000  0.0000 (multiplicity 2)
Rb  0.0000  0.1845  0.9954 (multiplicity 4)
Ca  0.0000  0.3952  0.9986 (multiplicity 4)
Br  0.0000  0.0974  0.4973 (multiplicity 4)
Br  0.0000  0.5000  0.9987 (multiplicity 2)
Cl  0.0000  0.2997  0.0014 (multiplicity 4)
Cl  0.0000  0.3962  0.4987 (multiplicity 4)


Structure and theoretical PXRD pattern of Hf3Cd3Pb (a DFT-relaxed cell (PBE, Alexandria); Cu Kα, 1.54184 Å).
Peak positions follow from Bragg's law for the DFT cell and can differ from measured ones.

Peak list (10 most intense, 2θ from 10° to 90°, in order of falling intensity)
(2 0 5), 2.475 Å, 36.30°, intensity 100; (0 2 7), 2.308 Å, 39.03°, intensity 86; (2 0 2), 2.655 Å, 33.76°, intensity 56; (0 0 12), 2.608 Å, 34.39°, intensity 50; (2 2 12), 1.336 Å, 70.49°, intensity 37; (2 2 0), 1.556 Å, 59.42°, intensity 31; (0 2 10), 2.042 Å, 44.37°, intensity 24; (2 0 17), 1.520 Å, 60.96°, intensity 20; (0 2 19), 1.405 Å, 66.54°, intensity 18; (2 0 14), 1.720 Å, 53.25°, intensity 17

Structure:
Cell: 6.2220 6.2220 31.2937 Å, 90.00 90.00 120.00°
Space group R-3m (No. 166, hexagonal axes)
Asymmetric unit:
Hf  0.0011  0.5005  0.2066 (multiplicity 18)
Cd  0.0022  0.5011  0.6270 (multiplicity 18)
Pb  0.0000  0.0000  0.2096 (multiplicity 6)


Structure and theoretical PXRD pattern of CsNaFeH6 (a DFT-relaxed cell (PBE, Alexandria); Cu Kα, 1.54184 Å).
Peak positions follow from Bragg's law for the DFT cell and can differ from measured ones.

Peak list (10 most intense, 2θ from 10° to 90°, in order of falling intensity)
(1 1 0), 3.669 Å, 24.26°, intensity 100; (0 0 1), 4.648 Å, 19.09°, intensity 70; (1 1 1), 3.723 Å, 23.90°, intensity 55; (1 -1 0), 3.102 Å, 28.78°, intensity 49; (0 2 1), 2.467 Å, 36.41°, intensity 39; (0 1 -1), 2.815 Å, 31.78°, intensity 37; (-1 1 1), 2.758 Å, 32.46°, intensity 27; (2 0 0), 2.417 Å, 37.21°, intensity 26; (2 2 1), 2.014 Å, 45.01°, intensity 26; (1 0 -2), 1.970 Å, 46.07°, intensity 18

Structure:
Cell: 5.0578 5.1413 5.1538 Å, 66.32 75.65 75.74°
Space group P1 (No. 1)
Asymmetric unit:
Cs  0.0000  0.0000  0.0000 (multiplicity 1)
Na  0.4686  0.3860  0.3860 (multiplicity 1)
Fe  0.4512  0.7230  0.7245 (multiplicity 1)
H  0.2200  0.6380  0.6424 (multiplicity 1)
H  0.3845  0.4271  0.9453 (multiplicity 1)
H  0.3846  0.9420  0.4286 (multiplicity 1)
H  0.6435  0.6408  0.9441 (multiplicity 1)
H  0.6440  0.9438  0.6393 (multiplicity 1)
H  0.6939  0.5715  0.5746 (multiplicity 1)


Structure and theoretical PXRD pattern of PmY14Th (a DFT-relaxed cell (PBE, Alexandria); Cu Kα, 1.54184 Å).
Peak positions follow from Bragg's law for the DFT cell and can differ from measured ones.

Peak list (10 most intense, 2θ from 10° to 90°, in order of falling intensity)
(2 0 2), 2.924 Å, 30.58°, intensity 100; (2 2 0), 2.535 Å, 35.41°, intensity 34; (4 2 2), 1.528 Å, 60.59°, intensity 27; (2 2 4), 1.789 Å, 51.04°, intensity 23; (0 0 4), 2.526 Å, 35.54°, intensity 17; (2 0 6), 1.524 Å, 60.77°, intensity 14; (4 0 4), 1.462 Å, 63.66°, intensity 12; (4 0 0), 1.793 Å, 50.94°, intensity 12; (4 2 6), 1.161 Å, 83.20°, intensity 11; (6 2 0), 1.133 Å, 85.73°, intensity 10

Structure:
Cell: 7.1701 7.1701 10.1030 Å, 90.00 90.00 90.00°
Space group P4/mmm (No. 123)
Asymmetric unit:
Pm  0.0000  0.0000  0.0000 (multiplicity 1)
Y  0.0000  0.0000  0.5000 (multiplicity 1)
Y  0.0000  0.5000  0.0000 (multiplicity 2)
Y  0.0000  0.5000  0.5000 (multiplicity 2)
Y  0.2525  0.2525  0.2488 (multiplicity 8)
Y  0.5000  0.5000  0.5000 (multiplicity 1)
Th  0.5000  0.5000  0.0000 (multiplicity 1)


Structure and theoretical PXRD pattern of Nb5GaSn2 (a DFT-relaxed cell (PBE, Alexandria); Cu Kα, 1.54184 Å).
Peak positions follow from Bragg's law for the DFT cell and can differ from measured ones.

Peak list (10 most intense, 2θ from 10° to 90°, in order of falling intensity)
(4 1 1), 2.325 Å, 38.73°, intensity 100; (4 2 0), 2.397 Å, 37.53°, intensity 35; (2 0 2), 2.339 Å, 38.48°, intensity 34; (3 2 1), 2.581 Å, 34.76°, intensity 25; (4 1 3), 1.442 Å, 64.62°, intensity 22; (2 2 2), 2.144 Å, 42.15°, intensity 22; (0 0 2), 2.600 Å, 34.49°, intensity 19; (3 3 0), 2.526 Å, 35.54°, intensity 17; (0 0 4), 1.300 Å, 72.75°, intensity 13; (6 4 2), 1.290 Å, 73.37°, intensity 12

Structure:
Cell: 10.7182 10.7182 5.2005 Å, 90.00 90.00 90.00°
Space group I4/mcm (No. 140)
Asymmetric unit:
Nb  0.0000  0.5000  0.2500 (multiplicity 4)
Nb  0.0706  0.2174  0.0000 (multiplicity 16)
Ga  0.0000  0.0000  0.2500 (multiplicity 4)
Sn  0.1688  0.3312  0.5000 (multiplicity 8)


Structure and theoretical PXRD pattern of SmY2Ag2 (a DFT-relaxed cell (PBE, Alexandria); Cu Kα, 1.54184 Å).
Peak positions follow from Bragg's law for the DFT cell and can differ from measured ones.

Peak list (10 most intense, 2θ from 10° to 90°, in order of falling intensity)
(1 5 1), 2.636 Å, 34.01°, intensity 100; (0 0 2), 2.659 Å, 33.71°, intensity 27; (0 10 0), 2.704 Å, 33.13°, intensity 22; (1 5 3), 1.531 Å, 60.49°, intensity 18; (0 10 2), 1.896 Å, 47.99°, intensity 15; (1 15 1), 1.548 Å, 59.75°, intensity 11; (2 0 2), 1.510 Å, 61.41°, intensity 9; (2 10 2), 1.318 Å, 71.59°, intensity 9; (2 0 0), 1.834 Å, 49.71°, intensity 9; (3 5 1), 1.164 Å, 82.98°, intensity 7

Structure:
Cell: 3.6681 27.0374 5.3171 Å, 90.00 90.00 90.00°
Space group Cmcm (No. 63)
Asymmetric unit:
Sm  0.0000  0.1449  0.2500 (multiplicity 4)
Y  0.0000  0.0475  0.7500 (multiplicity 4)
Y  0.0000  0.2342  0.7500 (multiplicity 4)
Ag  0.0000  0.3579  0.2500 (multiplicity 4)
Ag  0.0000  0.4545  0.7500 (multiplicity 4)


Structure and theoretical PXRD pattern of Rb2CeMgS4 (a DFT-relaxed cell (PBE, Alexandria); Cu Kα, 1.54184 Å).
Peak positions follow from Bragg's law for the DFT cell and can differ from measured ones.

Peak list (10 most intense, 2θ from 10° to 90°, in order of falling intensity)
(0 0 4), 2.998 Å, 29.80°, intensity 100; (2 2 4), 2.120 Å, 42.64°, intensity 45; (0 2 2), 3.471 Å, 25.67°, intensity 22; (2 0 2), 3.453 Å, 25.80°, intensity 21; (1 0 1), 6.910 Å, 12.81°, intensity 17; (2 2 8), 1.341 Å, 70.18°, intensity 17; (2 4 2), 1.811 Å, 50.39°, intensity 14; (4 0 0), 2.111 Å, 42.84°, intensity 11; (4 0 4), 1.726 Å, 53.05°, intensity 11; (0 4 0), 2.127 Å, 42.49°, intensity 11

Structure:
Cell: 8.4430 8.5093 12.0022 Å, 90.00 90.00 90.00°
Space group Imma (No. 74)
Asymmetric unit:
Rb  0.0000  0.0000  0.0000 (multiplicity 4)
Rb  0.2500  0.2500  0.2500 (multiplicity 4)
Ce  0.0000  0.0000  0.5000 (multiplicity 4)
Mg  0.2500  0.2500  0.7500 (multiplicity 4)
S  0.0000  0.0453  0.7283 (multiplicity 8)
S  0.2104  0.2500  0.5162 (multiplicity 8)


Structure and theoretical PXRD pattern of SrCe2NpN4 (a DFT-relaxed cell (PBE, Alexandria); Cu Kα, 1.54184 Å).
Peak positions follow from Bragg's law for the DFT cell and can differ from measured ones.

Peak list (10 most intense, 2θ from 10° to 90°, in order of falling intensity)
(1 1 2), 2.929 Å, 30.52°, intensity 100; (2 0 0), 2.536 Å, 35.39°, intensity 72; (2 2 0), 1.794 Å, 50.91°, intensity 50; (1 1 6), 1.530 Å, 60.53°, intensity 47; (4 2 0), 1.134 Å, 85.63°, intensity 22; (3 1 6), 1.164 Å, 82.97°, intensity 20; (2 2 4), 1.464 Å, 63.53°, intensity 17; (1 0 1), 4.538 Å, 19.56°, intensity 12; (4 0 0), 1.268 Å, 74.87°, intensity 8; (0 0 2), 5.069 Å, 17.49°, intensity 6

Structure:
Cell: 5.0746 5.0746 10.1386 Å, 90.00 90.00 90.00°
Space group I-4m2 (No. 119)
Asymmetric unit:
Sr  0.0000  0.0000  0.0000 (multiplicity 2)
Ce  0.0000  0.0000  0.5000 (multiplicity 2)
Ce  0.0000  0.5000  0.2500 (multiplicity 2)
Np  0.0000  0.5000  0.7500 (multiplicity 2)
N  0.0000  0.0000  0.2643 (multiplicity 4)
N  0.0000  0.5000  0.5302 (multiplicity 4)


Structure and theoretical PXRD pattern of La6Pm3Tm2 (a DFT-relaxed cell (PBE, Alexandria); Cu Kα, 1.54184 Å).
Peak positions follow from Bragg's law for the DFT cell and can differ from measured ones.

Peak list (10 most intense, 2θ from 10° to 90°, in order of falling intensity)
(0 1 11), 3.283 Å, 27.17°, intensity 100; (1 1 0), 2.318 Å, 38.85°, intensity 42; (1 0 22), 2.324 Å, 38.74°, intensity 31; (2 0 11), 1.894 Å, 48.05°, intensity 21; (1 2 11), 1.466 Å, 63.43°, intensity 18; (3 0 0), 1.339 Å, 70.30°, intensity 18; (0 2 22), 1.641 Å, 56.03°, intensity 11; (1 1 33), 1.470 Å, 63.28°, intensity 10; (3 1 11), 1.093 Å, 89.72°, intensity 7; (2 2 0), 1.159 Å, 83.38°, intensity 5

Structure:
Cell: 4.6362 4.6362 62.7044 Å, 90.00 90.00 120.00°
Space group R-3m (No. 166, hexagonal axes)
Asymmetric unit:
La  0.0000  0.0000  0.0930 (multiplicity 6)
La  0.0000  0.0000  0.1768 (multiplicity 6)
La  0.0000  0.0000  0.3671 (multiplicity 6)
Pm  0.0000  0.0000  0.0000 (multiplicity 3)
Pm  0.0000  0.0000  0.2666 (multiplicity 6)
Tm  0.0000  0.0000  0.4568 (multiplicity 6)


Structure and theoretical PXRD pattern of HoMg14Tl (a DFT-relaxed cell (PBE, Alexandria); Cu Kα, 1.54184 Å).
Peak positions follow from Bragg's law for the DFT cell and can differ from measured ones.

Peak list (10 most intense, 2θ from 10° to 90°, in order of falling intensity)
(2 0 2), 2.637 Å, 34.00°, intensity 100; (0 0 1), 8.633 Å, 10.25°, intensity 67; (1 1 1), 4.135 Å, 21.49°, intensity 57; (1 1 0), 4.711 Å, 18.84°, intensity 39; (2 2 0), 2.355 Å, 38.21°, intensity 36; (1 1 2), 3.183 Å, 28.04°, intensity 30; (2 0 1), 3.108 Å, 28.73°, intensity 30; (4 2 2), 1.408 Å, 66.39°, intensity 28; (2 2 4), 1.591 Å, 57.96°, intensity 21; (3 1 1), 2.047 Å, 44.26°, intensity 18

Structure:
Cell: 6.6620 6.6620 8.6332 Å, 90.00 90.00 90.00°
Space group P4/mmm (No. 123)
Asymmetric unit:
Ho  0.0000  0.0000  0.0000 (multiplicity 1)
Mg  0.0000  0.0000  0.5000 (multiplicity 1)
Mg  0.0000  0.5000  0.0000 (multiplicity 2)
Mg  0.0000  0.5000  0.5000 (multiplicity 2)
Mg  0.2505  0.2505  0.2571 (multiplicity 8)
Mg  0.5000  0.5000  0.5000 (multiplicity 1)
Tl  0.5000  0.5000  0.0000 (multiplicity 1)